Computed XRD peak list
Compound: Sm3MgTe4
Radiation: Cu Kα, 1.54184 Å
Structure: a structure optimized by DFT (PBE)

Main lines, low angle first (2θ from 15° to 90°):
Position (°2θ), intensity
28.71, 1000
40.18, 393
41.91, 361
48.64, 72
51.59, 195
59.46, 124
66.11, 172
68.56, 165
75.38, 122
76.54, 66

Cell lengths 15.1805, 15.1805, 15.1805 Å; angles 16.33, 16.33, 16.33 degrees
Fractional coordinates of all 8 atoms:
Sm  0.0000  0.0000  0.0000
Sm  0.2501  0.2501  0.2501
Sm  0.7499  0.7499  0.7499
Mg  0.5000  0.5000  0.5000
Te  0.1286  0.1286  0.1286
Te  0.3754  0.3754  0.3754
Te  0.6246  0.6246  0.6246
Te  0.8714  0.8714  0.8714